# K2FeF5
Theoretical X-ray powder pattern, CuKα. Input: DFT lattice parameters and positions (PBE+U).
Lines closer than 0.1° are merged.

Cell: 7.230 7.230 7.488 Å, 115.20 115.20 47.50°
Positions (direct):
K 0.024 0.024 0.249
K 0.333 0.333 0.227
K 0.667 0.667 0.773
K 0.976 0.976 0.751
Fe 0.310 0.310 0.715
Fe 0.690 0.690 0.285
F 0.000 0.500 0.500
F 0.120 0.602 0.915
F 0.157 0.157 0.690
F 0.398 0.880 0.085
F 0.443 0.443 0.670
F 0.500 0.000 0.500
F 0.557 0.557 0.330
F 0.602 0.120 0.915
F 0.843 0.843 0.310
F 0.880 0.398 0.085

Principal peaks in the range 5 to 70 degrees two-theta, in order of falling intensity:
Position (°2θ), Rel. int.
41.29, 100.0
27.50, 55.8
26.91, 41.3
30.20, 38.3
30.70, 28.0
14.81, 26.6

***

# K3FeF3
Theoretical X-ray powder pattern, CuKα. Input: DFT lattice parameters and positions (PBE+U).
Lines closer than 0.1° are merged.

Cell: 5.942 6.175 10.083 Å, 81.96 78.82 64.74°
Positions (direct):
K 0.000 0.000 0.000
K 0.111 0.135 0.627
K 0.367 0.391 0.870
K 0.500 0.499 0.496
K 0.615 0.627 0.114
K 0.887 0.862 0.371
Fe 0.286 0.234 0.237
Fe 0.778 0.748 0.740
F 0.139 0.595 0.149
F 0.366 0.892 0.342
F 0.411 0.810 0.845
F 0.625 0.107 0.653
F 0.887 0.416 0.869
F 0.949 0.345 0.380

Principal peaks in the range 5 to 70 degrees two-theta, in order of falling intensity:
Position (°2θ), Rel. int.
30.28, 100.0
30.65, 96.1
29.72, 69.9
29.42, 68.4
38.10, 66.7
40.92, 52.2

***

# K3FeF6
Theoretical X-ray powder pattern, CuKα. Input: DFT lattice parameters and positions (PBE+U).
Lines closer than 0.1° are merged.

Cell: 6.313 6.313 6.313 Å, 60.00 60.00 60.00°
Positions (direct):
K 0.000 0.000 0.000
K 0.250 0.250 0.250
K 0.750 0.750 0.750
Fe 0.500 0.500 0.500
F 0.281 0.281 0.719
F 0.281 0.719 0.281
F 0.281 0.719 0.719
F 0.719 0.281 0.281
F 0.719 0.281 0.719
F 0.719 0.719 0.281

Principal peaks in the range 5 to 70 degrees two-theta, in order of falling intensity:
Position (°2θ), Rel. int.
28.27, 100.0
40.41, 67.2
58.48, 35.1
50.05, 31.3
19.89, 21.3
66.20, 18.5

***

# K2FeF5
Theoretical X-ray powder pattern, CuKα. Input: DFT lattice parameters and positions (PBE+U).
Lines closer than 0.1° are merged.

Cell: 7.490 5.780 11.743 Å, 90.00 90.00 90.00°
Positions (direct):
K 0.011 0.250 0.228
K 0.157 0.750 0.415
K 0.343 0.250 0.915
K 0.489 0.750 0.728
K 0.511 0.250 0.272
K 0.657 0.750 0.085
K 0.843 0.250 0.585
K 0.989 0.750 0.772
Fe 0.170 0.750 0.061
Fe 0.330 0.250 0.561
Fe 0.670 0.750 0.439
Fe 0.830 0.250 0.939
F 0.000 0.000 0.000
F 0.000 0.500 0.000
F 0.026 0.750 0.196
F 0.176 0.008 0.613
F 0.176 0.492 0.613
F 0.222 0.250 0.410
F 0.278 0.750 0.910
F 0.324 0.508 0.113
F 0.324 0.992 0.113
F 0.474 0.250 0.696
F 0.500 0.000 0.500
F 0.500 0.500 0.500
F 0.526 0.750 0.304
F 0.676 0.008 0.887
F 0.676 0.492 0.887
F 0.722 0.250 0.090
F 0.778 0.750 0.590
F 0.824 0.508 0.387
F 0.824 0.992 0.387
F 0.974 0.250 0.804

Principal peaks in the range 5 to 70 degrees two-theta, in order of falling intensity:
Position (°2θ), Rel. int.
27.52, 100.0
42.40, 61.5
28.40, 54.0
20.83, 52.4
28.27, 49.7
30.94, 49.5

***

# K3Fe5F15
Theoretical X-ray powder pattern, CuKα. Input: DFT lattice parameters and positions (PBE+U).
Lines closer than 0.1° are merged.

Cell: 12.977 13.028 4.023 Å, 90.00 90.00 90.00°
Positions (direct):
K 0.000 0.000 0.000
K 0.176 0.323 0.999
K 0.324 0.823 0.999
K 0.500 0.500 0.000
K 0.676 0.177 0.999
K 0.824 0.677 0.999
Fe 0.000 0.500 0.471
Fe 0.076 0.786 0.489
Fe 0.213 0.076 0.489
Fe 0.287 0.576 0.489
Fe 0.424 0.286 0.489
Fe 0.500 0.000 0.471
Fe 0.576 0.714 0.489
Fe 0.713 0.424 0.489
Fe 0.787 0.924 0.489
Fe 0.924 0.214 0.489
F 0.000 0.500 0.974
F 0.009 0.352 0.476
F 0.072 0.142 0.495
F 0.075 0.792 0.989
F 0.146 0.936 0.496
F 0.151 0.495 0.478
F 0.211 0.074 0.990
F 0.226 0.718 0.489
F 0.274 0.218 0.489
F 0.289 0.574 0.990
F 0.349 0.995 0.478
F 0.354 0.436 0.496
F 0.425 0.292 0.989
F 0.428 0.642 0.495
F 0.491 0.852 0.476
F 0.500 0.000 0.974
F 0.509 0.148 0.476
F 0.572 0.358 0.495
F 0.575 0.708 0.989
F 0.646 0.564 0.496
F 0.651 0.005 0.478
F 0.711 0.426 0.990
F 0.726 0.782 0.489
F 0.774 0.282 0.489
F 0.789 0.926 0.990
F 0.849 0.505 0.478
F 0.854 0.064 0.496
F 0.925 0.208 0.989
F 0.928 0.858 0.495
F 0.991 0.648 0.476

Principal peaks in the range 5 to 70 degrees two-theta, in order of falling intensity:
Position (°2θ), Rel. int.
31.10, 100.0
22.10, 84.9
24.69, 78.2
45.08, 75.6
26.95, 63.3
28.35, 51.4

***

# KFe2F6
Theoretical X-ray powder pattern, CuKα. Input: DFT lattice parameters and positions (PBE+U).
Lines closer than 0.1° are merged.

Cell: 12.809 12.809 4.027 Å, 90.00 90.00 90.00°
Positions (direct):
K 0.000 0.000 0.000
K 0.171 0.328 0.000
K 0.328 0.829 0.000
K 0.672 0.171 0.000
K 0.829 0.672 0.000
Fe 0.000 0.500 0.500
Fe 0.076 0.786 0.500
Fe 0.214 0.076 0.500
Fe 0.294 0.573 0.500
Fe 0.427 0.294 0.500
Fe 0.500 0.000 0.500
Fe 0.573 0.706 0.500
Fe 0.706 0.427 0.500
Fe 0.786 0.924 0.500
Fe 0.924 0.214 0.500
F 0.000 0.500 0.000
F 0.010 0.344 0.500
F 0.071 0.141 0.500
F 0.078 0.791 0.000
F 0.141 0.929 0.500
F 0.158 0.496 0.500
F 0.209 0.078 0.000
F 0.225 0.715 0.500
F 0.285 0.225 0.500
F 0.290 0.577 0.000
F 0.344 0.990 0.500
F 0.355 0.430 0.500
F 0.423 0.290 0.000
F 0.430 0.645 0.500
F 0.496 0.842 0.500
F 0.500 0.000 0.000
F 0.504 0.158 0.500
F 0.570 0.355 0.500
F 0.577 0.710 0.000
F 0.645 0.570 0.500
F 0.656 0.010 0.500
F 0.710 0.423 0.000
F 0.715 0.775 0.500
F 0.775 0.285 0.500
F 0.791 0.922 0.000
F 0.842 0.504 0.500
F 0.859 0.071 0.500
F 0.922 0.209 0.000
F 0.929 0.859 0.500
F 0.990 0.656 0.500

Principal peaks in the range 5 to 70 degrees two-theta, in order of falling intensity:
Position (°2θ), Rel. int.
31.30, 100.0
22.08, 94.3
28.74, 92.2
50.39, 82.5
25.07, 79.6
45.03, 69.4